1.
For Tm4Ga12Ni, a GGA-PBE-relaxed structure gives the calculated X-ray powder pattern in this record (λ = 1.5418 Å (Cu Kα)).
Intensities are scaled so that the largest is 100.

The 10 most intense peaks (10° ≤ 2θ ≤ 80°), low angle first:
| 2θ (°) | d (Å) | I/Imax | hkl |
| --- | --- | --- | --- |
| 20.86 | 4.258 | 13 | 2 0 0 |
| 29.67 | 3.011 | 28 | 2 2 0 |
| 36.55 | 2.459 | 100 | 2 2 2 |
| 42.45 | 2.129 | 58 | 4 0 0 |
| 47.76 | 1.904 | 9 | 4 2 0 |
| 52.65 | 1.738 | 9 | 4 2 2 |
| 61.60 | 1.506 | 35 | 4 4 0 |
| 69.85 | 1.347 | 7 | 6 2 0 |
| 73.80 | 1.284 | 32 | 6 2 2 |
| 77.68 | 1.229 | 11 | 4 4 4 |

Structure:
```
data_Tm4Ga12Ni
_chemical_formula_sum 'Tm8 Ga24 Ni2'
_space_group_name_H-M_alt 'I m -3 m'
_space_group_IT_number 229
_space_group_name_Hall '-I 4 2 3'
_cell_length_a 8.517
_cell_length_b 8.517
_cell_length_c 8.517
_cell_angle_alpha 90.00
_cell_angle_beta 90.00
_cell_angle_gamma 90.00
loop_
_atom_site_label
_atom_site_type_symbol
_atom_site_fract_x
_atom_site_fract_y
_atom_site_fract_z
Tm1 Tm 0.250 0.250 0.250
Ga1 Ga 0.000 0.000 0.287
Ga2 Ga 0.000 0.250 0.500
Ni1 Ni 0.000 0.000 0.000
```

---

2.
For Y3Ga5Ni, a GGA-PBE-relaxed structure gives the calculated X-ray powder pattern in this record (λ = 1.5418 Å (Cu Kα)).
Intensities are scaled so that the largest is 100.

The 10 most intense peaks (10° ≤ 2θ ≤ 80°), low angle first:
| 2θ (°) | d (Å) | I/Imax | hkl |
| --- | --- | --- | --- |
| 33.62 | 2.666 | 100 | 1 1 1 |
| 36.94 | 2.433 | 91 | 2 0 1 |
| 40.04 | 2.252 | 48 | 2 1 0 |
| 42.88 | 2.109 | 35 | 0 0 2 |
| 45.68 | 1.986 | 53 | 3 0 0 |
| 60.12 | 1.539 | 45 | 2 1 2 |
| 64.45 | 1.446 | 16 | 3 0 2 |
| 72.71 | 1.301 | 44 | 3 2 1 |
| 74.65 | 1.272 | 11 | 2 0 3 |
| 76.71 | 1.242 | 9 | 4 1 1 |

Structure:
```
data_Y3Ga5Ni
_chemical_formula_sum 'Y3 Ga5 Ni1'
_space_group_name_H-M_alt 'P -6 2 m'
_space_group_IT_number 189
_space_group_name_Hall 'P -6 -2'
_cell_length_a 6.8793
_cell_length_b 6.8793
_cell_length_c 4.2181
_cell_angle_alpha 90.00
_cell_angle_beta 90.00
_cell_angle_gamma 120.00
loop_
_atom_site_label
_atom_site_type_symbol
_atom_site_fract_x
_atom_site_fract_y
_atom_site_fract_z
Y1 Y 0.0000 0.5922 0.0000
Ga1 Ga 0.0000 0.2350 0.5000
Ga2 Ga 0.3333 0.6667 0.5000
Ni1 Ni 0.0000 0.0000 0.0000
```

---

3.
For Y2Ga5Ni3, a GGA-PBE-relaxed structure gives the calculated X-ray powder pattern in this record (λ = 1.5418 Å (Cu Kα)).
Intensities are scaled so that the largest is 100.

The 10 most intense peaks (10° ≤ 2θ ≤ 80°), low angle first:
| 2θ (°) | d (Å) | I/Imax | hkl |
| --- | --- | --- | --- |
| 34.46 | 2.602 | 78 | 2 4 0 |
| 34.65 | 2.589 | 21 | 1 4 1 |
| 35.05 | 2.560 | 88 | 3 2 1 |
| 37.29 | 2.411 | 100 | 2 0 2 |
| 40.40 | 2.233 | 34 | 1 3 2 |
| 40.87 | 2.208 | 35 | 4 1 1 |
| 44.06 | 2.055 | 90 | 0 4 2 |
| 46.16 | 1.967 | 36 | 3 5 0 |
| 59.41 | 1.556 | 20 | 3 2 3 |
| 67.70 | 1.384 | 19 | 0 0 4 |

Structure:
```
data_Y2Ga5Ni3
_chemical_formula_sum 'Y8 Ga20 Ni12'
_space_group_name_H-M_alt 'I b a m'
_space_group_IT_number 72
_space_group_name_Hall '-I 2 2c'
_cell_length_a 9.823
_cell_length_b 12.274
_cell_length_c 5.536
_cell_angle_alpha 90.00
_cell_angle_beta 90.00
_cell_angle_gamma 90.00
loop_
_atom_site_label
_atom_site_type_symbol
_atom_site_fract_x
_atom_site_fract_y
_atom_site_fract_z
Y1 Y 0.224 0.143 0.000
Ga1 Ga 0.000 0.000 0.250
Ga2 Ga 0.000 0.290 0.250
Ga3 Ga 0.172 0.410 0.000
Ni1 Ni 0.000 0.500 0.250
Ni2 Ni 0.093 0.144 0.500
```

---

4.
For Y3Ga10Ni, a GGA-PBE-relaxed structure gives the calculated X-ray powder pattern in this record (λ = 1.5418 Å (Cu Kα)).
Intensities are scaled so that the largest is 100.

The 10 most intense peaks (10° ≤ 2θ ≤ 80°), low angle first:
| 2θ (°) | d (Å) | I/Imax | hkl |
| --- | --- | --- | --- |
| 31.78 | 2.815 | 40 | 1 0 4 |
| 32.34 | 2.768 | 100 | 1 1 2 |
| 41.33 | 2.185 | 29 | 0 1 6 |
| 42.43 | 2.131 | 23 | 1 1 5 |
| 42.67 | 2.119 | 39 | 0 2 0 |
| 43.50 | 2.080 | 37 | 2 0 0 |
| 46.98 | 1.934 | 23 | 1 1 6 |
| 54.17 | 1.693 | 17 | 1 2 4 |
| 61.56 | 1.507 | 17 | 2 1 6 |
| 62.57 | 1.485 | 24 | 2 2 0 |

Structure:
```
data_Y3Ga10Ni
_chemical_formula_sum 'Y3 Ga10 Ni1'
_space_group_name_H-M_alt 'P m m m'
_space_group_IT_number 47
_cell_length_a 4.161
_cell_length_b 4.238
_cell_length_c 15.296
_cell_angle_alpha 90.00
_cell_angle_beta 90.00
_cell_angle_gamma 90.00
loop_
_space_group_symop_operation_xyz
'x,y,z'
'-x,-y,-z'
'-x,-y,z'
'x,y,-z'
'x,-y,-z'
'-x,y,z'
'-x,y,-z'
'x,-y,z'
loop_
_atom_site_label
_atom_site_type_symbol
_atom_site_fract_x
_atom_site_fract_y
_atom_site_fract_z
Y1 Y 0.000 0.000 0.000
Y2 Y 0.000 0.500 0.250
Ga1 Ga 0.000 0.000 0.415
Ga2 Ga 0.500 0.000 0.156
Ga3 Ga 0.500 0.000 0.312
Ga4 Ga 0.500 0.500 0.080
Ga5 Ga 0.500 0.500 0.413
Ni1 Ni 0.000 0.500 0.500
```

---

5.
For ZnGa3Ni3, a GGA-PBE-relaxed structure gives the calculated X-ray powder pattern in this record (λ = 1.5418 Å (Cu Kα)).
Intensities are scaled so that the largest is 100.

The 10 most intense peaks (10° ≤ 2θ ≤ 80°), low angle first:
| 2θ (°) | d (Å) | I/Imax | hkl |
| --- | --- | --- | --- |
| 18.98 | 4.675 | 7 | 2 1 1 |
| 29.18 | 3.060 | 8 | 3 2 1 |
| 31.25 | 2.863 | 5 | 4 0 0 |
| 43.28 | 2.091 | 7 | 5 2 1 |
| 44.77 | 2.024 | 100 | 4 4 0 |
| 49.04 | 1.858 | 4 | 6 1 1 |
| 65.18 | 1.431 | 15 | 8 0 0 |
| 68.57 | 1.369 | 2 | 6 5 3 |
| 74.05 | 1.280 | 2 | 8 4 0 |
| 77.27 | 1.235 | 3 | 6 5 5 |

Structure:
```
data_ZnGa3Ni3
_chemical_formula_sum 'Zn16 Ga48 Ni48'
_space_group_name_H-M_alt 'I a -3 d'
_space_group_IT_number 230
_space_group_name_Hall '-I 4bd 2c 3'
_cell_length_a 11.451
_cell_length_b 11.451
_cell_length_c 11.451
_cell_angle_alpha 90.00
_cell_angle_beta 90.00
_cell_angle_gamma 90.00
loop_
_atom_site_label
_atom_site_type_symbol
_atom_site_fract_x
_atom_site_fract_y
_atom_site_fract_z
Zn1 Zn 0.000 0.000 0.000
Ga1 Ga 0.000 0.250 0.011
Ni1 Ni 0.117 0.125 0.867
```

---

6.
For Zr3Ga3Ni2, a GGA-PBE-relaxed structure gives the calculated X-ray powder pattern in this record (λ = 1.5418 Å (Cu Kα)).
Intensities are scaled so that the largest is 100.

The 10 most intense peaks (10° ≤ 2θ ≤ 80°), low angle first:
| 2θ (°) | d (Å) | I/Imax | hkl |
| --- | --- | --- | --- |
| 33.00 | 2.714 | 13 | 1 1 1 |
| 37.51 | 2.398 | 100 | 0 1 2 |
| 38.88 | 2.316 | 21 | 2 0 1 |
| 39.33 | 2.291 | 22 | 2 0 -2 |
| 39.57 | 2.277 | 53 | 2 1 0 |
| 39.72 | 2.269 | 45 | 2 1 -1 |
| 44.90 | 2.019 | 45 | 0 2 0 |
| 61.19 | 1.515 | 12 | 2 2 -2 |
| 78.18 | 1.223 | 13 | 4 1 1 |
| 79.23 | 1.209 | 12 | 2 3 0 |

Structure:
```
data_Zr3Ga3Ni2
_chemical_formula_sum 'Zr3 Ga3 Ni2'
_space_group_name_H-M_alt 'P 1 m 1'
_space_group_IT_number 6
_cell_length_a 5.655
_cell_length_b 4.038
_cell_length_c 6.109
_cell_angle_alpha 90.00
_cell_angle_beta 102.71
_cell_angle_gamma 90.00
loop_
_space_group_symop_operation_xyz
'x,y,z'
'x,-y,z'
loop_
_atom_site_label
_atom_site_type_symbol
_atom_site_fract_x
_atom_site_fract_y
_atom_site_fract_z
Zr1 Zr 0.000 0.000 0.000
Zr2 Zr 0.189 0.500 0.679
Zr3 Zr 0.560 0.500 0.172
Ga1 Ga 0.375 0.000 0.428
Ga2 Ga 0.697 0.500 0.731
Ga3 Ga 0.861 0.000 0.454
Ni1 Ni 0.082 0.500 0.256
Ni2 Ni 0.477 0.000 0.861
```

---

7.
For NpGaPd, a GGA-PBE-relaxed structure gives the calculated X-ray powder pattern in this record (λ = 1.5418 Å (Cu Kα)).
Intensities are scaled so that the largest is 100.

The 10 most intense peaks (10° ≤ 2θ ≤ 80°), low angle first:
| 2θ (°) | d (Å) | I/Imax | hkl |
| --- | --- | --- | --- |
| 24.10 | 3.693 | 52 | 1 1 1 |
| 27.89 | 3.199 | 29 | 2 0 0 |
| 39.86 | 2.262 | 100 | 2 2 0 |
| 47.12 | 1.929 | 27 | 3 1 1 |
| 49.35 | 1.847 | 8 | 2 2 2 |
| 57.64 | 1.599 | 17 | 4 0 0 |
| 63.38 | 1.468 | 11 | 3 3 1 |
| 65.22 | 1.430 | 11 | 4 2 0 |
| 72.37 | 1.306 | 35 | 4 2 2 |
| 77.54 | 1.231 | 9 | 5 1 1 |

Structure:
```
data_NpGaPd
_chemical_formula_sum 'Np4 Ga4 Pd4'
_space_group_name_H-M_alt 'F -4 3 m'
_space_group_IT_number 216
_space_group_name_Hall 'F -4 2 3'
_cell_length_a 6.397
_cell_length_b 6.397
_cell_length_c 6.397
_cell_angle_alpha 90.00
_cell_angle_beta 90.00
_cell_angle_gamma 90.00
loop_
_atom_site_label
_atom_site_type_symbol
_atom_site_fract_x
_atom_site_fract_y
_atom_site_fract_z
Np1 Np 0.000 0.000 0.000
Ga1 Ga 0.000 0.000 0.500
Pd1 Pd 0.250 0.250 0.750
```

---

8.
For PrGaPO, a GGA-PBE-relaxed structure gives the calculated X-ray powder pattern in this record (λ = 1.5418 Å (Cu Kα)).
Intensities are scaled so that the largest is 100.

The 10 most intense peaks (10° ≤ 2θ ≤ 80°), low angle first:
| 2θ (°) | d (Å) | I/Imax | hkl |
| --- | --- | --- | --- |
| 23.56 | 3.777 | 42 | 1 0 1 |
| 30.50 | 2.931 | 100 | 1 0 2 |
| 31.60 | 2.831 | 56 | 1 1 1 |
| 33.40 | 2.683 | 14 | 0 0 3 |
| 37.19 | 2.418 | 29 | 1 1 2 |
| 42.26 | 2.139 | 49 | 2 0 0 |
| 53.01 | 1.728 | 41 | 2 1 2 |
| 54.80 | 1.675 | 40 | 1 1 4 |
| 54.91 | 1.672 | 14 | 2 0 3 |
| 61.30 | 1.512 | 16 | 2 2 0 |

Structure:
```
data_PrGaPO
_chemical_formula_sum 'Pr2 Ga2 P2 O2'
_space_group_name_H-M_alt 'P 4/n m m'
_space_group_IT_number 129
_cell_length_a 4.277
_cell_length_b 4.277
_cell_length_c 8.048
_cell_angle_alpha 90.00
_cell_angle_beta 90.00
_cell_angle_gamma 90.00
loop_
_space_group_symop_operation_xyz
'x,y,z'
'-x,-y,-z'
'-y+1/2,x,z'
'y+1/2,-x,-z'
'-x+1/2,-y+1/2,z'
'x+1/2,y+1/2,-z'
'y,-x+1/2,z'
'-y,x+1/2,-z'
'x+1/2,-y,-z'
'-x+1/2,y,z'
'-y,-x,-z'
'y,x,z'
'-x,y+1/2,-z'
'x,-y+1/2,z'
'y+1/2,x+1/2,-z'
'-y+1/2,-x+1/2,z'
loop_
_atom_site_label
_atom_site_type_symbol
_atom_site_fract_x
_atom_site_fract_y
_atom_site_fract_z
Pr1 Pr 0.250 0.250 0.135
Ga1 Ga 0.250 0.750 0.500
P1 P 0.250 0.250 0.657
O1 O 0.250 0.750 0.000
```

---

9.
For GaTcPO, a GGA-PBE-relaxed structure gives the calculated X-ray powder pattern in this record (λ = 1.5418 Å (Cu Kα)).
Intensities are scaled so that the largest is 100.

The 10 most intense peaks (10° ≤ 2θ ≤ 80°), low angle first:
| 2θ (°) | d (Å) | I/Imax | hkl |
| --- | --- | --- | --- |
| 14.36 | 6.167 | 34 | 0 1 0 |
| 28.95 | 3.084 | 23 | 0 2 0 |
| 31.22 | 2.865 | 24 | 0 0 2 |
| 32.19 | 2.781 | 100 | 1 1 0 |
| 32.99 | 2.715 | 33 | 0 2 1 |
| 34.52 | 2.598 | 40 | 0 1 2 |
| 42.89 | 2.109 | 34 | 1 0 2 |
| 43.10 | 2.099 | 39 | 0 2 2 |
| 45.46 | 1.995 | 54 | 1 1 2 |
| 55.94 | 1.644 | 22 | 1 3 1 |

Structure:
```
data_GaTcPO
_chemical_formula_sum 'Ga2 Tc2 P2 O2'
_space_group_name_H-M_alt 'P m c 21'
_space_group_IT_number 26
_cell_length_a 3.115
_cell_length_b 6.167
_cell_length_c 5.729
_cell_angle_alpha 90.00
_cell_angle_beta 90.00
_cell_angle_gamma 90.00
loop_
_space_group_symop_operation_xyz
'x,y,z'
'-x,-y,z+1/2'
'-x,y,z'
'x,-y,z+1/2'
loop_
_atom_site_label
_atom_site_type_symbol
_atom_site_fract_x
_atom_site_fract_y
_atom_site_fract_z
Ga1 Ga 0.000 0.086 0.000
Tc1 Tc 0.500 0.488 0.619
P1 P 0.000 0.298 0.391
O1 O 0.500 0.239 0.877
```

---

10.
For Pa2GaO4, a GGA-PBE-relaxed structure gives the calculated X-ray powder pattern in this record (λ = 1.5418 Å (Cu Kα)).
Intensities are scaled so that the largest is 100.

The 10 most intense peaks (10° ≤ 2θ ≤ 80°), low angle first:
| 2θ (°) | d (Å) | I/Imax | hkl |
| --- | --- | --- | --- |
| 14.89 | 5.950 | 77 | 1 1 1 |
| 28.73 | 3.107 | 100 | 3 1 1 |
| 30.04 | 2.975 | 62 | 2 2 2 |
| 34.82 | 2.576 | 38 | 4 0 0 |
| 38.06 | 2.364 | 15 | 3 3 1 |
| 45.75 | 1.983 | 44 | 5 1 1 |
| 50.07 | 1.822 | 47 | 4 4 0 |
| 52.53 | 1.742 | 18 | 5 3 1 |
| 59.50 | 1.554 | 33 | 6 2 2 |
| 70.14 | 1.342 | 24 | 5 5 3 |

Structure:
Cell: 10.306 10.306 10.306 Å, 90.00 90.00 90.00°
Space group Fd-3m (No. 227, origin choice 2)
Inequivalent atoms, fractional coordinates:
Pa 0.000 0.000 0.000 x16
Ga 0.125 0.125 0.625 x8
O 0.026 0.026 0.224 x32

---

11.
For Pm2Ga2O5, a GGA-PBE-relaxed structure gives the calculated X-ray powder pattern in this record (λ = 1.5418 Å (Cu Kα)).
Intensities are scaled so that the largest is 100.

The 10 most intense peaks (10° ≤ 2θ ≤ 80°), low angle first:
| 2θ (°) | d (Å) | I/Imax | hkl |
| --- | --- | --- | --- |
| 22.68 | 3.921 | 14 | 1 0 0 |
| 32.28 | 2.773 | 54 | 1 1 0 |
| 34.43 | 2.605 | 100 | 1 0 2 |
| 41.63 | 2.170 | 21 | 1 1 2 |
| 46.31 | 1.961 | 35 | 2 0 0 |
| 58.96 | 1.566 | 43 | 2 1 2 |
| 63.01 | 1.475 | 12 | 1 1 4 |
| 67.57 | 1.386 | 11 | 2 2 0 |
| 72.59 | 1.302 | 13 | 2 0 4 |
| 76.88 | 1.240 | 9 | 3 1 0 |

Structure:
```
data_Pm2Ga2O5
_chemical_formula_sum 'Pm2 Ga2 O5'
_space_group_name_H-M_alt 'P 4/m m m'
_space_group_IT_number 123
_space_group_name_Hall '-P 4 2'
_cell_length_a 3.921
_cell_length_b 3.921
_cell_length_c 6.969
_cell_angle_alpha 90.00
_cell_angle_beta 90.00
_cell_angle_gamma 90.00
loop_
_atom_site_label
_atom_site_type_symbol
_atom_site_fract_x
_atom_site_fract_y
_atom_site_fract_z
Pm1 Pm 0.000 0.000 0.000
Pm2 Pm 0.000 0.000 0.500
Ga1 Ga 0.500 0.500 0.212
O1 O 0.000 0.500 0.239
O2 O 0.500 0.500 0.500
```

---

12.
For Sm2GaO4, a GGA-PBE-relaxed structure gives the calculated X-ray powder pattern in this record (λ = 1.5418 Å (Cu Kα)).
Intensities are scaled so that the largest is 100.

The 10 most intense peaks (10° ≤ 2θ ≤ 80°), low angle first:
| 2θ (°) | d (Å) | I/Imax | hkl |
| --- | --- | --- | --- |
| 16.44 | 5.391 | 34 | 1 1 1 |
| 31.79 | 2.815 | 100 | 3 1 1 |
| 33.24 | 2.695 | 39 | 2 2 2 |
| 38.57 | 2.334 | 30 | 4 0 0 |
| 42.19 | 2.142 | 12 | 3 3 1 |
| 50.81 | 1.797 | 34 | 3 3 3 |
| 55.69 | 1.651 | 45 | 4 4 0 |
| 65.56 | 1.424 | 12 | 5 3 3 |
| 66.42 | 1.408 | 18 | 6 2 2 |
| 78.72 | 1.216 | 22 | 7 3 1 |

Structure:
Cell: 9.337 9.337 9.337 Å, 90.00 90.00 90.00°
Space group Fd-3m (No. 227, origin choice 2)
Inequivalent atoms, fractional coordinates:
Sm 0.000 0.000 0.000 x16
Ga 0.125 0.125 0.625 x8
O 0.007 0.007 0.743 x32